[1]
Starting from a crystal structure in Alexandria, relaxed with GGA-PBE, the powder X-ray diffraction pattern of LiReB2F was calculated for Cu Kα X-rays.
Lines closer than 0.1° are merged.

Peak list (6 most intense, 2θ = 10–80°, in order of rising 2θ)
d [Å], I/Imax
4.164, 40.3
4.119, 100.0
2.928, 60.4
2.913, 38.7
2.387, 25.1
1.685, 25.2

abc: 4.1193 4.1193 4.1639
angles: 90.00 90.00 90.00
Fractional coordinates of all 5 atoms:
Li: 0.0000 0.0000 0.0000
Re: 0.5000 0.5000 0.5000
B: 0.0000 0.5000 0.5000
B: 0.5000 0.0000 0.5000
F: 0.5000 0.5000 0.0000

[2]
Starting from a crystal structure in Alexandria, relaxed with GGA-PBE, the powder X-ray diffraction pattern of LiTlB2F8 was calculated for Cu Kα X-rays.
Lines closer than 0.1° are merged.

Peak list (6 most intense, 2θ = 10–80°, in order of rising 2θ)
d [Å], I/Imax
7.686, 67.0
4.229, 69.8
3.448, 100.0
3.146, 41.1
2.364, 67.4
2.086, 38.5

abc: 8.2036 8.2036 8.2036
angles: 35.25 35.25 35.25
Fractional coordinates of all 12 atoms:
Li: 0.0000 0.0000 0.0000
Tl: 0.5000 0.5000 0.5000
B: 0.2619 0.2619 0.2619
B: 0.7381 0.7381 0.7381
F: 0.0380 0.5721 0.2322
F: 0.1995 0.1995 0.1995
F: 0.2322 0.0380 0.5721
F: 0.4279 0.7678 0.9620
F: 0.5721 0.2322 0.0380
F: 0.7678 0.9620 0.4279
F: 0.8005 0.8005 0.8005
F: 0.9620 0.4279 0.7678